For NdGdGa4Cu2, a cell relaxed with PBE gives the theoretical powder diffraction line list in this record (copper Kα).

Most intense lines, 2θ = 5–70°, sorted by position:
d [Å]	I_rel	index
3.022	27	1 0 4
2.636	100	1 1 3
2.173	39	0 1 7
2.102	28	0 2 0
2.061	26	2 0 0
1.496	23	2 1 7

Atomic structure:
```
data_NdGdGa4Cu2
_chemical_formula_sum 'Nd2 Gd2 Ga8 Cu4'
_space_group_name_H-M_alt 'A m m 2'
_space_group_IT_number 38
_space_group_name_Hall 'A 2 -2'
_cell_length_a 4.1227
_cell_length_b 4.2032
_cell_length_c 17.7740
_cell_angle_alpha 90.00
_cell_angle_beta 90.00
_cell_angle_gamma 90.00
loop_
_atom_site_label
_atom_site_fract_x
_atom_site_fract_y
_atom_site_fract_z
_atom_site_occupancy
Nd1 0.0000 0.0000 0.0000 1
Gd1 0.0000 0.0000 0.7145 1
Ga1 0.0000 0.0000 0.3560 1
Ga2 0.5000 0.0000 0.1448 1
Ga3 0.5000 0.0000 0.5707 1
Ga4 0.5000 0.0000 0.8558 1
Cu1 0.5000 0.0000 0.2784 1
Cu2 0.5000 0.0000 0.4347 1
```

---

For Gd2GaCu2Si, a cell relaxed with PBE gives the theoretical powder diffraction line list in this record (copper Kα).

Most intense lines, 2θ = 5–70°, sorted by position:
d [Å]	I_rel	index
3.680	24	1 0 0
2.616	100	1 0 2
2.125	44	1 1 0
1.860	10	0 0 4
1.649	24	2 0 2
1.399	22	1 1 4

Atomic structure:
```
data_Gd2GaCu2Si
_chemical_formula_sum 'Gd2 Ga1 Cu2 Si1'
_space_group_name_H-M_alt 'P -6 m 2'
_space_group_IT_number 187
_space_group_name_Hall 'P -6 2'
_cell_length_a 4.2493
_cell_length_b 4.2493
_cell_length_c 7.4383
_cell_angle_alpha 90.00
_cell_angle_beta 90.00
_cell_angle_gamma 120.00
loop_
_atom_site_label
_atom_site_fract_x
_atom_site_fract_y
_atom_site_fract_z
_atom_site_occupancy
Gd1 0.0000 0.0000 0.2504 1
Ga1 0.3333 0.6667 0.0000 1
Cu1 0.3333 0.6667 0.5000 1
Cu2 0.6667 0.3333 0.0000 1
Si1 0.6667 0.3333 0.5000 1
```

---

For HoTm2Ga3CuGe2, a cell relaxed with PBE gives the theoretical powder diffraction line list in this record (copper Kα).

Most intense lines, 2θ = 5–70°, sorted by position:
d [Å]	I_rel	index
2.663	100	1 0 2
2.437	65	1 2 2
2.288	36	0 5 1
2.056	24	2 0 0
2.018	20	0 3 3
1.529	20	2 5 1

Atomic structure:
```
data_HoTm2Ga3CuGe2
_chemical_formula_sum 'Ho2 Tm4 Ga6 Cu2 Ge4'
_space_group_name_H-M_alt 'A m m 2'
_space_group_IT_number 38
_space_group_name_Hall 'A 2 -2'
_cell_length_a 4.1112
_cell_length_b 12.1235
_cell_length_c 6.9807
_cell_angle_alpha 90.00
_cell_angle_beta 90.00
_cell_angle_gamma 90.00
loop_
_atom_site_label
_atom_site_fract_x
_atom_site_fract_y
_atom_site_fract_z
_atom_site_occupancy
Ho1 0.0000 0.0000 0.0000 1
Tm1 0.0000 0.2009 0.6023 1
Ga1 0.5000 0.0000 0.6373 1
Ga2 0.5000 0.1178 0.2845 1
Cu1 0.0000 0.0000 0.4040 1
Ge1 0.5000 0.1677 0.9012 1
```

---

For GaCuSi17Ge13, a cell relaxed with PBE gives the theoretical powder diffraction line list in this record (copper Kα).

Most intense lines, 2θ = 5–70°, sorted by position:
d [Å]	I_rel	index
3.223	100	1 1 0
3.195	35	1 0 8
1.977	33	2 1 -8
1.965	31	2 1 8
1.684	19	3 1 0
1.678	25	1 1 -16

Atomic structure:
```
data_GaCuSi17Ge13
_chemical_formula_sum 'Ga1 Cu1 Si17 Ge13'
_space_group_name_H-M_alt 'P 1 m 1'
_space_group_IT_number 6
_space_group_name_Hall 'P -2y'
_cell_length_a 5.5899
_cell_length_b 3.9455
_cell_length_c 31.3383
_cell_angle_alpha 90.00
_cell_angle_beta 90.49
_cell_angle_gamma 90.00
loop_
_atom_site_label
_atom_site_fract_x
_atom_site_fract_y
_atom_site_fract_z
_atom_site_occupancy
Ga1 0.0000 0.0000 0.0000 1
Cu1 0.2636 0.0000 0.0673 1
Si1 0.0001 0.0000 0.3758 1
Si2 0.2427 0.0000 0.1832 1
Si3 0.2494 0.0000 0.6857 1
Si4 0.2503 0.0000 0.4365 1
Si5 0.2645 0.0000 0.9386 1
Si6 0.4672 0.5000 0.0616 1
Si7 0.4830 0.5000 0.1855 1
Si8 0.4888 0.5000 0.4376 1
Si9 0.4902 0.5000 0.6863 1
Si10 0.4998 0.5000 0.9378 1
Si11 0.5013 0.5000 0.8101 1
Si12 0.7355 0.5000 0.2463 1
Si13 0.7384 0.5000 0.4985 1
Si14 0.7381 0.5000 0.7479 1
Si15 0.7497 0.5000 0.6266 1
Si16 0.9876 0.0000 0.1218 1
Si17 0.9902 0.0000 0.6260 1
Ge1 0.0049 0.0000 0.8762 1
Ge2 0.2379 0.0000 0.3117 1
Ge3 0.2383 0.0000 0.5631 1
Ge4 0.2520 0.0000 0.8110 1
Ge5 0.5002 0.5000 0.3108 1
Ge6 0.5020 0.5000 0.5628 1
Ge7 0.7359 0.5000 0.0033 1
Ge8 0.7372 0.5000 0.1228 1
Ge9 0.7435 0.5000 0.8745 1
Ge10 0.7507 0.5000 0.3763 1
Ge11 0.9863 0.0000 0.2460 1
Ge12 0.9884 0.0000 0.4977 1
Ge13 0.9890 0.0000 0.7471 1
```

---

For Tm4GaCu2Ge4, a cell relaxed with PBE gives the theoretical powder diffraction line list in this record (copper Kα).

Most intense lines, 2θ = 5–70°, sorted by position:
d [Å]	I_rel	index
2.663	83	3 1 1
2.558	100	3 1 -2
2.461	78	1 1 2
2.451	52	5 1 -1
2.390	43	5 1 0
2.095	62	0 2 0

Atomic structure:
```
data_Tm4GaCu2Ge4
_chemical_formula_sum 'Tm8 Ga2 Cu4 Ge8'
_space_group_name_H-M_alt 'C 1 2/m 1'
_space_group_IT_number 12
_space_group_name_Hall '-C 2y'
_cell_length_a 15.2638
_cell_length_b 4.1891
_cell_length_c 6.9581
_cell_angle_alpha 90.00
_cell_angle_beta 107.58
_cell_angle_gamma 90.00
loop_
_atom_site_label
_atom_site_fract_x
_atom_site_fract_y
_atom_site_fract_z
_atom_site_occupancy
Tm1 0.0850 0.0000 0.3732 1
Tm2 0.1497 0.0000 0.9327 1
Ga1 0.0000 0.5000 0.0000 1
Cu1 0.2189 0.5000 0.6224 1
Ge1 0.0633 0.5000 0.6625 1
Ge2 0.1953 0.5000 0.2396 1
```

---

For Hf2Ga2Cu2NiPd, a cell relaxed with PBE gives the theoretical powder diffraction line list in this record (copper Kα).

Most intense lines, 2θ = 5–70°, sorted by position:
d [Å]	I_rel	index
3.594	24	1 0 1
2.206	100	1 1 2
2.190	49	2 0 0
1.870	8	2 1 1
1.572	8	0 0 4
1.548	16	2 2 0

Atomic structure:
```
data_Hf2Ga2Cu2NiPd
_chemical_formula_sum 'Hf2 Ga2 Cu2 Ni1 Pd1'
_space_group_name_H-M_alt 'P -4 m 2'
_space_group_IT_number 115
_space_group_name_Hall 'P -4 -2'
_cell_length_a 4.3797
_cell_length_b 4.3797
_cell_length_c 6.2873
_cell_angle_alpha 90.00
_cell_angle_beta 90.00
_cell_angle_gamma 90.00
loop_
_atom_site_label
_atom_site_fract_x
_atom_site_fract_y
_atom_site_fract_z
_atom_site_occupancy
Hf1 0.0000 0.5000 0.2380 1
Ga1 0.0000 0.5000 0.7586 1
Cu1 0.0000 0.0000 0.0000 1
Cu2 0.5000 0.5000 0.5000 1
Ni1 0.5000 0.5000 0.0000 1
Pd1 0.0000 0.0000 0.5000 1
```

---

For Ho3Ga4Cu2, a cell relaxed with PBE gives the theoretical powder diffraction line list in this record (copper Kα).

Most intense lines, 2θ = 5–70°, sorted by position:
d [Å]	I_rel	index
3.775	38	2 0 -2
2.585	95	4 0 -1
2.575	95	1 1 2
2.180	100	0 2 0
1.667	17	4 2 -1
1.662	24	0 2 3

Atomic structure:
```
data_Ho3Ga4Cu2
_chemical_formula_sum 'Ho6 Ga8 Cu4'
_space_group_name_H-M_alt 'C 1 2/m 1'
_space_group_IT_number 12
_space_group_name_Hall '-C 2y'
_cell_length_a 10.3751
_cell_length_b 4.3571
_cell_length_c 8.3200
_cell_angle_alpha 90.00
_cell_angle_beta 111.93
_cell_angle_gamma 90.00
loop_
_atom_site_label
_atom_site_fract_x
_atom_site_fract_y
_atom_site_fract_z
_atom_site_occupancy
Ho1 0.0000 0.0000 0.0000 1
Ho2 0.1721 0.5000 0.6536 1
Ga1 0.0357 0.0000 0.3664 1
Ga2 0.2319 0.5000 0.0757 1
Cu1 0.0985 0.5000 0.2698 1
```

---

For YHo2Ga3Cu2Ni, a cell relaxed with PBE gives the theoretical powder diffraction line list in this record (copper Kα).

Most intense lines, 2θ = 5–70°, sorted by position:
d [Å]	I_rel	index
2.616	100	1 0 2
2.398	82	1 2 2
2.270	46	0 5 1
2.001	19	0 3 3
1.993	26	2 0 0
1.498	24	2 5 1

Atomic structure:
```
data_YHo2Ga3Cu2Ni
_chemical_formula_sum 'Y2 Ho4 Ga6 Cu4 Ni2'
_space_group_name_H-M_alt 'A m m 2'
_space_group_IT_number 38
_space_group_name_Hall 'A 2 -2'
_cell_length_a 3.9854
_cell_length_b 12.0234
_cell_length_c 6.9253
_cell_angle_alpha 90.00
_cell_angle_beta 90.00
_cell_angle_gamma 90.00
loop_
_atom_site_label
_atom_site_fract_x
_atom_site_fract_y
_atom_site_fract_z
_atom_site_occupancy
Y1 0.0000 0.0000 0.0000 1
Ho1 0.0000 0.2046 0.6148 1
Ga1 0.5000 0.0000 0.6461 1
Ga2 0.5000 0.1178 0.2925 1
Cu1 0.5000 0.1685 0.9097 1
Ni1 0.0000 0.0000 0.4131 1
```

---

Number 5 is which compound? Tm4GaCu2Ge4